Record 1
CsRbZnGeP: simulated X-ray diffraction stick pattern (Cu Kα, 1.54184 Å), based on a DFT-relaxed cell (PBE, Alexandria).
Peak positions follow from Bragg's law for the DFT cell and can differ from measured ones.

Principal peaks in the range 10 to 90 degrees two-theta, in order of rising 2θ:
- 7.396 Å, intensity 100, hkl 0 0 1
- 6.790 Å, intensity 47, hkl 0 1 0
- 4.446 Å, intensity 27, hkl 1 1 0
- 3.803 Å, intensity 36, hkl 1 0 -1
- 3.698 Å, intensity 42, hkl 0 0 2
- 3.459 Å, intensity 23, hkl 1 -1 0
- 3.395 Å, intensity 72, hkl 0 2 0
- 2.982 Å, intensity 37, hkl 1 1 2
- 2.616 Å, intensity 30, hkl 1 -1 2
- 2.506 Å, intensity 20, hkl 0 2 2

Structure:
```
data_CsRbZnGeP
_symmetry_space_group_name_H-M 'P 1'
_symmetry_Int_Tables_number 1
_symmetry_space_group_name_Hall 'P 1'
_cell_length_a 4.889
_cell_length_b 7.041
_cell_length_c 7.433
_cell_angle_alpha 88.25
_cell_angle_beta 84.29
_cell_angle_gamma 74.65
loop_
_atom_site_label
_atom_site_type_symbol
_atom_site_fract_x
_atom_site_fract_y
_atom_site_fract_z
_atom_site_occupancy
Cs1 Cs 0.000 0.000 0.000 1
Rb1 Rb 0.389 0.503 0.489 1
Zn1 Zn 0.363 0.483 0.995 1
Ge1 Ge 0.803 0.543 0.856 1
P1 P 0.944 0.488 0.161 1
```

=====

Record 2
CsRbZnGeP: simulated X-ray diffraction stick pattern (Cu Kα, 1.54184 Å), based on a DFT-relaxed cell (PBE, Alexandria).
Peak positions follow from Bragg's law for the DFT cell and can differ from measured ones.

Principal peaks in the range 10 to 90 degrees two-theta, in order of rising 2θ:
- 4.390 Å, intensity 18, hkl 1 1 0
- 3.714 Å, intensity 74, hkl 2 0 1
- 3.242 Å, intensity 100, hkl 3 1 -1
- 2.957 Å, intensity 32, hkl 2 0 -2
- 2.432 Å, intensity 26, hkl 5 1 0
- 2.306 Å, intensity 18, hkl 0 2 0
- 1.959 Å, intensity 25, hkl 2 2 1
- 1.878 Å, intensity 22, hkl 7 1 -2
- 1.757 Å, intensity 17, hkl 5 1 -3
- 1.605 Å, intensity 17, hkl 9 1 -1

Structure:
```
data_CsRbZnGeP
_symmetry_space_group_name_H-M 'C 1 m 1'
_symmetry_Int_Tables_number 8
_symmetry_space_group_name_Hall 'C -2y'
_cell_length_a 15.477
_cell_length_b 4.612
_cell_length_c 5.915
_cell_angle_alpha 90.00
_cell_angle_beta 112.36
_cell_angle_gamma 90.00
loop_
_atom_site_label
_atom_site_type_symbol
_atom_site_fract_x
_atom_site_fract_y
_atom_site_fract_z
_atom_site_occupancy
Cs1 Cs 0.000 0.000 0.000 1
Rb1 Rb 0.292 0.500 0.299 1
Zn1 Zn 0.180 0.000 0.635 1
Ge1 Ge 0.123 0.500 0.674 1
P1 P 0.470 0.000 0.455 1
```

=====

Record 3
Cs4GeP4S12: simulated X-ray diffraction stick pattern (Cu Kα, 1.54184 Å), based on a DFT-relaxed cell (PBE, Alexandria).
Peak positions follow from Bragg's law for the DFT cell and can differ from measured ones.

Principal peaks in the range 10 to 90 degrees two-theta, in order of rising 2θ:
- 5.222 Å, intensity 33, hkl 2 0 2
- 4.964 Å, intensity 71, hkl 1 1 -4
- 4.342 Å, intensity 26, hkl 0 2 0
- 3.896 Å, intensity 83, hkl 3 1 -2
- 3.839 Å, intensity 26, hkl 2 0 -6
- 3.358 Å, intensity 37, hkl 1 1 6
- 3.339 Å, intensity 100, hkl 2 2 2
- 3.148 Å, intensity 41, hkl 4 0 -4
- 2.877 Å, intensity 33, hkl 2 2 -6
- 2.611 Å, intensity 59, hkl 4 0 4

Structure:
```
data_Cs4GeP4S12
_symmetry_space_group_name_H-M 'C 1 2/c 1'
_symmetry_Int_Tables_number 15
_symmetry_space_group_name_Hall '-C 2yc'
_cell_length_a 13.192
_cell_length_b 8.684
_cell_length_c 24.975
_cell_angle_alpha 90.00
_cell_angle_beta 102.95
_cell_angle_gamma 90.00
loop_
_atom_site_label
_atom_site_type_symbol
_atom_site_fract_x
_atom_site_fract_y
_atom_site_fract_z
_atom_site_occupancy
Cs1 Cs 0.097 0.053 0.183 1
Cs2 Cs 0.191 0.487 0.549 1
Ge1 Ge 0.000 0.492 0.750 1
P1 P 0.086 0.319 0.868 1
P2 P 0.139 0.430 0.383 1
S1 S 0.041 0.311 0.416 1
S2 S 0.059 0.233 0.936 1
S3 S 0.063 0.363 0.687 1
S4 S 0.131 0.361 0.297 1
S5 S 0.178 0.205 0.828 1
S6 S 0.212 0.073 0.579 1
```

=====

Record 4
CsPrGeS4: simulated X-ray diffraction stick pattern (Cu Kα, 1.54184 Å), based on a DFT-relaxed cell (PBE, Alexandria).
Peak positions follow from Bragg's law for the DFT cell and can differ from measured ones.

Principal peaks in the range 10 to 90 degrees two-theta, in order of rising 2θ:
- 4.659 Å, intensity 89, hkl 1 1 0
- 3.795 Å, intensity 75, hkl 0 1 2
- 3.700 Å, intensity 71, hkl 1 1 -2
- 3.421 Å, intensity 100, hkl 0 2 0
- 3.091 Å, intensity 53, hkl 2 0 -2
- 2.946 Å, intensity 99, hkl 1 1 2
- 2.817 Å, intensity 76, hkl 2 1 -2
- 2.737 Å, intensity 45, hkl 0 2 2
- 2.392 Å, intensity 39, hkl 1 0 -4
- 2.330 Å, intensity 77, hkl 2 2 0

Structure:
```
data_CsPrGeS4
_symmetry_space_group_name_H-M 'P 1 21/m 1'
_symmetry_Int_Tables_number 11
_symmetry_space_group_name_Hall '-P 2yb'
_cell_length_a 6.684
_cell_length_b 6.841
_cell_length_c 9.583
_cell_angle_alpha 90.00
_cell_angle_beta 107.81
_cell_angle_gamma 90.00
loop_
_atom_site_label
_atom_site_type_symbol
_atom_site_fract_x
_atom_site_fract_y
_atom_site_fract_z
_atom_site_occupancy
Cs1 Cs 0.230 0.250 0.436 1
Pr1 Pr 0.272 0.250 0.952 1
Ge1 Ge 0.282 0.750 0.167 1
S1 S 0.083 0.750 0.934 1
S2 S 0.085 0.750 0.314 1
S3 S 0.496 0.503 0.799 1
```

=====

Record 5
CsGe2Pt2: simulated X-ray diffraction stick pattern (Cu Kα, 1.54184 Å), based on a DFT-relaxed cell (PBE, Alexandria).
Peak positions follow from Bragg's law for the DFT cell and can differ from measured ones.

Principal peaks in the range 10 to 90 degrees two-theta, in order of rising 2θ:
- 7.270 Å, intensity 100, hkl 0 0 2
- 3.635 Å, intensity 36, hkl 0 0 4
- 3.212 Å, intensity 47, hkl 1 1 3
- 3.007 Å, intensity 49, hkl 0 2 2
- 2.629 Å, intensity 34, hkl 2 0 2
- 2.144 Å, intensity 42, hkl 2 2 0
- 2.057 Å, intensity 18, hkl 2 2 2
- 1.954 Å, intensity 32, hkl 0 2 6
- 1.847 Å, intensity 22, hkl 2 2 4
- 1.838 Å, intensity 26, hkl 2 0 6

Structure:
```
data_CsGe2Pt2
_symmetry_space_group_name_H-M 'F m m m'
_symmetry_Int_Tables_number 69
_symmetry_space_group_name_Hall '-F 2 2'
_cell_length_a 5.640
_cell_length_b 6.604
_cell_length_c 14.541
_cell_angle_alpha 90.00
_cell_angle_beta 90.00
_cell_angle_gamma 90.00
loop_
_atom_site_label
_atom_site_type_symbol
_atom_site_fract_x
_atom_site_fract_y
_atom_site_fract_z
_atom_site_occupancy
Cs1 Cs 0.000 0.000 0.000 1
Ge1 Ge 0.000 0.000 0.338 1
Pt1 Pt 0.250 0.250 0.250 1
```

=====

Record 6
CsGe2Pt4: simulated X-ray diffraction stick pattern (Cu Kα, 1.54184 Å), based on a DFT-relaxed cell (PBE, Alexandria).
Peak positions follow from Bragg's law for the DFT cell and can differ from measured ones.

Principal peaks in the range 10 to 90 degrees two-theta, in order of rising 2θ:
- 5.846 Å, intensity 58, hkl 1 1 0
- 2.705 Å, intensity 90, hkl 2 1 1
- 2.614 Å, intensity 67, hkl 3 1 0
- 2.354 Å, intensity 100, hkl 2 2 1
- 2.183 Å, intensity 93, hkl 3 1 1
- 2.005 Å, intensity 31, hkl 4 1 0
- 1.985 Å, intensity 42, hkl 0 0 2
- 1.581 Å, intensity 30, hkl 3 1 2
- 1.526 Å, intensity 31, hkl 5 0 1
- 1.177 Å, intensity 22, hkl 4 4 2

Structure:
```
data_CsGe2Pt4
_symmetry_space_group_name_H-M 'P 42/m n m'
_symmetry_Int_Tables_number 136
_symmetry_space_group_name_Hall '-P 4n 2n'
_cell_length_a 8.268
_cell_length_b 8.268
_cell_length_c 3.969
_cell_angle_alpha 90.00
_cell_angle_beta 90.00
_cell_angle_gamma 90.00
loop_
_atom_site_label
_atom_site_type_symbol
_atom_site_fract_x
_atom_site_fract_y
_atom_site_fract_z
_atom_site_occupancy
Cs1 Cs 0.000 0.000 0.000 1
Ge1 Ge 0.229 0.229 0.500 1
Pt1 Pt 0.090 0.655 0.500 1
```

=====

Record 7
CsRbGe12: simulated X-ray diffraction stick pattern (Cu Kα, 1.54184 Å), based on a DFT-relaxed cell (PBE, Alexandria).
Peak positions follow from Bragg's law for the DFT cell and can differ from measured ones.

Principal peaks in the range 10 to 90 degrees two-theta, in order of rising 2θ:
- 6.624 Å, intensity 54, hkl 1 0 0
- 6.046 Å, intensity 28, hkl 0 0 2
- 4.684 Å, intensity 28, hkl 1 1 0
- 4.466 Å, intensity 65, hkl 1 0 2
- 3.703 Å, intensity 87, hkl 1 1 2
- 3.312 Å, intensity 46, hkl 2 0 0
- 2.184 Å, intensity 44, hkl 2 2 2
- 2.116 Å, intensity 100, hkl 2 1 4
- 2.095 Å, intensity 33, hkl 3 1 0
- 2.074 Å, intensity 36, hkl 3 0 2

Structure:
```
data_CsRbGe12
_symmetry_space_group_name_H-M 'P 4/m m m'
_symmetry_Int_Tables_number 123
_symmetry_space_group_name_Hall '-P 4 2'
_cell_length_a 6.624
_cell_length_b 6.624
_cell_length_c 12.092
_cell_angle_alpha 90.00
_cell_angle_beta 90.00
_cell_angle_gamma 90.00
loop_
_atom_site_label
_atom_site_type_symbol
_atom_site_fract_x
_atom_site_fract_y
_atom_site_fract_z
_atom_site_occupancy
Cs1 Cs 0.000 0.000 0.000 1
Rb1 Rb 0.000 0.000 0.500 1
Ge1 Ge 0.192 0.500 0.251 1
Ge2 Ge 0.500 0.500 0.107 1
Ge3 Ge 0.500 0.500 0.394 1
```

=====

Record 8
Cs3RbGe2S6: simulated X-ray diffraction stick pattern (Cu Kα, 1.54184 Å), based on a DFT-relaxed cell (PBE, Alexandria).
Peak positions follow from Bragg's law for the DFT cell and can differ from measured ones.

Principal peaks in the range 10 to 90 degrees two-theta, in order of rising 2θ:
- 5.144 Å, intensity 29, hkl 0 0 2
- 4.066 Å, intensity 100, hkl 0 1 2
- 3.833 Å, intensity 89, hkl 1 1 0
- 3.159 Å, intensity 27, hkl 0 2 1
- 2.789 Å, intensity 67, hkl 2 0 2
- 2.255 Å, intensity 36, hkl 1 2 2
- 2.213 Å, intensity 20, hkl 3 0 0
- 2.136 Å, intensity 26, hkl 1 1 4
- 1.917 Å, intensity 27, hkl 2 2 0
- 1.537 Å, intensity 20, hkl 2 2 4

Structure:
```
data_Cs3RbGe2S6
_symmetry_space_group_name_H-M 'P -3 m 1'
_symmetry_Int_Tables_number 164
_symmetry_space_group_name_Hall '-P 3 2"'
_cell_length_a 7.6665
_cell_length_b 7.6665
_cell_length_c 10.2880
_cell_angle_alpha 90.00
_cell_angle_beta 90.00
_cell_angle_gamma 120.00
loop_
_atom_site_label
_atom_site_type_symbol
_atom_site_fract_x
_atom_site_fract_y
_atom_site_fract_z
_atom_site_occupancy
Cs1 Cs 0.0000 0.0000 0.0000 1
Cs2 Cs 0.3333 0.6667 0.7174 1
Rb1 Rb 0.0000 0.0000 0.5000 1
Ge1 Ge 0.3333 0.6667 0.2624 1
S1 S 0.1728 0.3455 0.2630 1
```